1.
Calculated PXRD pattern of HfSO7 for λ = 1.5418 Å (Cu Kα), from a DFT-relaxed cell (GGA-PBE, the Materials Project).
Kinematic intensities with the Lorentz-polarization factor, no thermal factor.

Most intense lines, 2θ = 5–70°, in order of falling intensity:
| 2θ (°) | Rel. int. |
| --- | --- |
| 15.48 | 100 |
| 18.36 | 98 |
| 14.23 | 70 |
| 27.68 | 41 |
| 23.19 | 41 |
| 25.54 | 31 |

Crystal structure
```
HfSO7
1.0
3.2399 -6.2220 0.0000
3.2399 6.2220 0.0000
-0.7868 0.0000 7.6713
Hf S O
2 2 14
Cartesian
2.6499 5.5917 5.7535
3.0432 -5.5917 1.9178
3.0432 1.5002 1.9178
2.6499 -1.5002 5.7535
3.1959 5.5216 0.2333
2.8905 5.5216 3.6024
2.6499 3.5926 5.7535
2.8101 2.3199 0.7302
1.8729 0.5599 2.1409
1.4795 -0.5599 5.9765
3.2763 2.3199 3.1055
2.4168 -2.3199 4.5658
4.2136 0.5599 1.6948
3.8202 -0.5599 5.5304
2.8829 -2.3199 6.9411
3.0432 -3.5926 1.9178
2.8026 -5.5216 4.0689
2.4972 -5.5216 7.4381
```

2.
Calculated PXRD pattern of HfSO for λ = 1.5418 Å (Cu Kα), from a DFT-relaxed cell (GGA-PBE, the Materials Project).
Kinematic intensities with the Lorentz-polarization factor, no thermal factor.

Most intense lines, 2θ = 5–70°, in order of falling intensity:
| 2θ (°) | Rel. int. |
| --- | --- |
| 28.63 | 100 |
| 35.50 | 53 |
| 37.85 | 48 |
| 45.83 | 33 |
| 59.60 | 27 |
| 51.07 | 25 |

Crystal structure
```
HfSO
1.0
3.5765 0.0000 0.0000
0.0000 3.5765 0.0000
0.0000 0.0000 6.3631
Hf S O
2 2 2
Cartesian
0.8941 0.8941 1.2502
2.6824 2.6824 5.1129
0.8941 0.8941 3.9922
2.6824 2.6824 2.3709
0.8941 2.6824 0.0000
2.6824 0.8941 0.0000
```

3.
Calculated PXRD pattern of HfSO for λ = 1.5418 Å (Cu Kα), from a DFT-relaxed cell (GGA-PBE, the Materials Project).
Kinematic intensities with the Lorentz-polarization factor, no thermal factor.

Most intense lines, 2θ = 5–70°, in order of falling intensity:
| 2θ (°) | Rel. int. |
| --- | --- |
| 27.10 | 100 |
| 35.22 | 81 |
| 22.06 | 59 |
| 38.70 | 55 |
| 60.82 | 49 |
| 50.66 | 45 |

Crystal structure
```
HfSO
1.0
5.6986 0.0000 0.0000
0.0000 5.6986 0.0000
0.0000 0.0000 5.6986
Hf S O
4 4 4
Cartesian
1.0240 1.8253 3.8733
1.8253 3.8733 1.0240
3.8733 1.0240 1.8253
4.6746 4.6746 4.6746
0.4614 0.4614 0.4614
2.3879 5.2372 3.3108
3.3108 2.3879 5.2372
5.2372 3.3108 2.3879
0.5409 3.3902 5.1578
2.3084 2.3084 2.3084
3.3902 5.1578 0.5409
5.1578 0.5409 3.3902
```